(1)
# KPb
Computed powder X-ray diffraction pattern, Cu Ka. Input: DFT lattice parameters and positions (GGA-PBE).

Structural model:
abc: 11.6361 11.6361 19.1373
angles: 90.00 90.00 90.00
Space group I4_1/acd (No. 142, origin choice 2)
Unique sites:
1 K 0.1226 0.1274 0.1250 x16
2 K 0.1306 0.0000 0.7500 x16
3 Pb 0.0620 0.1298 0.9341 x32

Main lines, low angle first (10° ≤ 2θ ≤ 90°):
2theta, I (rel.), hkl
14.20, 100, 1 1 2
15.23, 24, 2 0 0
28.04, 38, 3 2 1
28.96, 33, 2 1 5
30.05, 20, 1 1 6
30.68, 48, 4 0 0
31.06, 27, 3 2 3
32.16, 15, 4 0 2
36.41, 23, 3 2 5
42.07, 16, 5 2 1

---

(2)
# KPb
Computed powder X-ray diffraction pattern, Cu Ka. Input: DFT lattice parameters and positions (GGA-PBE).

Structural model:
abc: 5.4444 3.9310 6.7523
angles: 90.00 90.00 90.00
Space group Pmma (No. 51)
Unique sites:
1 K 0.2500 0.0000 0.1740 x2
2 Pb 0.2500 0.5000 0.6391 x2

Main lines, low angle first (10° ≤ 2θ ≤ 90°):
2theta, I (rel.), hkl
13.11, 60, 0 0 1
20.96, 48, 1 0 1
22.62, 38, 0 1 0
26.23, 46, 0 1 1
31.03, 100, 1 1 1
31.17, 73, 1 0 2
32.90, 35, 2 0 0
38.86, 42, 1 1 2
56.77, 27, 1 2 2
57.62, 30, 3 0 2

---

(3)
# KPb2
Computed powder X-ray diffraction pattern, Cu Ka. Input: DFT lattice parameters and positions (GGA-PBE).

Structural model:
abc: 7.4343 5.2499 10.7082
angles: 90.00 90.00 90.00
Space group Pnma (No. 62)
Unique sites:
1 K 0.1366 0.2500 0.0807 x4
2 Pb 0.0546 0.2500 0.7186 x4
3 Pb 0.1269 0.2500 0.4182 x4

Main lines, low angle first (10° ≤ 2θ ≤ 90°):
2theta, I (rel.), hkl
14.50, 60, 1 0 1
22.33, 31, 1 1 1
29.44, 88, 2 1 0
30.28, 100, 0 1 3
30.63, 29, 2 1 1
34.16, 43, 0 2 0
34.85, 50, 2 0 3
39.69, 33, 1 1 4
49.60, 37, 2 2 3
58.74, 23, 0 3 3

---

(4)
# K2Pd3Pb5
Computed powder X-ray diffraction pattern, Cu Ka. Input: DFT lattice parameters and positions (GGA-PBE).

Structural model:
abc: 11.6367 13.8468 6.8608
angles: 90.00 90.00 90.00
Space group Ibam (No. 72)
Unique sites:
1 K 0.2297 0.1509 0.0000 x8
2 Pd 0.0000 0.5000 0.2500 x4
3 Pd 0.1034 0.1378 0.5000 x8
4 Pb 0.0000 0.0000 0.2500 x4
5 Pb 0.0000 0.2775 0.2500 x8
6 Pb 0.1677 0.4197 0.0000 x8

Main lines, low angle first (10° ≤ 2θ ≤ 90°):
2theta, I (rel.), hkl
15.23, 66, 2 0 0
19.75, 76, 1 2 1
30.05, 79, 2 4 0
30.24, 100, 2 0 2
33.44, 40, 1 3 2
36.89, 76, 0 4 2
40.13, 33, 2 4 2
40.50, 35, 4 4 0
40.66, 54, 4 0 2
58.92, 32, 3 7 2

---

(5)
# KPd4Pb2
Computed powder X-ray diffraction pattern, Cu Ka. Input: DFT lattice parameters and positions (GGA-PBE).

Structural model:
abc: 8.4977 8.4977 8.5870
angles: 90.00 90.00 90.00
Space group I4/mcm (No. 140)
Unique sites:
1 K 0.0000 0.0000 0.2500 x4
2 Pd 0.1445 0.3555 0.1645 x16
3 Pb 0.1527 0.3473 0.5000 x8

Main lines, low angle first (10° ≤ 2θ ≤ 90°):
2theta, I (rel.), hkl
14.74, 44, 1 1 0
20.91, 12, 2 0 0
25.63, 15, 2 1 1
33.34, 49, 3 1 0
39.41, 100, 2 1 3
42.56, 21, 4 0 0
45.27, 23, 3 3 0
50.14, 9, 3 2 3
54.89, 13, 4 1 3
67.82, 31, 5 2 3

---

(6)
# KPd2Pb9
Computed powder X-ray diffraction pattern, Cu Ka. Input: DFT lattice parameters and positions (GGA-PBE).

Structural model:
abc: 13.1490 13.1490 8.3715
angles: 90.00 90.00 90.00
Space group I4_1/amd (No. 141, origin choice 2)
Unique sites:
1 K 0.0000 0.2500 0.3750 x4
2 Pd 0.0000 0.0000 0.0000 x8
3 Pb 0.0000 0.2500 0.8750 x4
4 Pb 0.1258 0.0629 0.6833 x32

Main lines, low angle first (10° ≤ 2θ ≤ 90°):
2theta, I (rel.), hkl
12.53, 31, 1 0 1
13.47, 19, 2 0 0
30.30, 68, 3 1 2
30.40, 35, 4 2 0
32.81, 17, 1 0 3
35.61, 25, 2 1 3
35.79, 100, 5 0 1
37.38, 22, 4 2 2
38.23, 18, 3 0 3
60.34, 17, 5 3 4

---

(7)
# K2Pd3Pb4
Computed powder X-ray diffraction pattern, Cu Ka. Input: DFT lattice parameters and positions (GGA-PBE).

Structural model:
abc: 6.0331 10.9458 14.4197
angles: 90.00 90.00 90.00
Space group Fmmm (No. 69)
Unique sites:
1 K 0.0000 0.0000 0.1179 x8
2 Pd 0.0000 0.0000 0.5000 x4
3 Pd 0.2500 0.2500 0.0000 x8
4 Pb 0.0000 0.1667 0.3459 x16

Main lines, low angle first (10° ≤ 2θ ≤ 90°):
2theta, I (rel.), hkl
16.20, 31, 0 2 0
17.88, 41, 1 1 1
29.27, 28, 1 3 1
29.62, 26, 2 0 0
34.25, 100, 1 3 3
36.21, 22, 2 2 2
37.42, 23, 0 0 6
38.93, 25, 2 0 4
42.42, 19, 2 2 4
55.57, 25, 3 3 3

---

(8)
# K3Pd6Pb5
Computed powder X-ray diffraction pattern, Cu Ka. Input: DFT lattice parameters and positions (GGA-PBE).

Structural model:
abc: 4.3318 13.3886 12.6627
angles: 90.00 90.00 90.00
Space group Pmmn (No. 59, origin choice 2)
Unique sites:
1 K 0.2500 0.1050 0.2344 x4
2 K 0.2500 0.7500 0.2355 x2
3 Pd 0.2500 0.0686 0.8679 x4
4 Pd 0.2500 0.2500 0.5312 x2
5 Pd 0.2500 0.2500 0.9877 x2
6 Pd 0.2500 0.5763 0.4896 x4
7 Pb 0.2500 0.0716 0.6457 x4
8 Pb 0.2500 0.6087 0.9931 x4
9 Pb 0.2500 0.7500 0.6018 x2

Main lines, low angle first (10° ≤ 2θ ≤ 90°):
2theta, I (rel.), hkl
13.99, 75, 0 0 2
21.09, 41, 0 3 1
21.68, 35, 1 0 1
29.57, 51, 1 0 3
32.08, 94, 1 3 2
40.42, 31, 0 6 0
40.68, 100, 1 3 4
40.98, 19, 0 3 5
41.70, 40, 2 0 0
59.47, 21, 2 6 0